Structure and calculated powder diffractogram of Pu4MnFe2 (DFT lattice parameters and positions (PBE); Cu Kα).
Peak positions follow from Bragg's law for the DFT cell and can differ from measured ones.

Structure:
Unit cell a=7.0901 b=7.0901 c=7.0901 alpha=109.00 beta=109.00 gamma=110.41
Positions (direct):
Pu  0.1213  0.0071  0.7497
Pu  0.1217  0.5074  0.7503
Pu  0.2574  0.3717  0.2503
Pu  0.4926  0.2429  0.6143
Pu  0.6283  0.8787  0.8857
Pu  0.6287  0.8783  0.3857
Pu  0.7571  0.3713  0.2497
Pu  0.9929  0.7426  0.1143
Mn  0.2500  0.7500  0.5000
Mn  0.5000  0.5000  0.0000
Fe  0.0044  0.1250  0.3794
Fe  0.3750  0.9956  0.1206
Fe  0.7456  0.6250  0.6206
Fe  0.8750  0.2544  0.8794

Principal peaks in the range 2θ from 10° to 90°, by angle:
two_theta  intensity
26.60  391
26.83  198
30.99  297
34.47  1000
35.01  479
41.07  334
41.23  325
41.50  290
54.78  235
57.07  301

---

Structure and calculated powder diffractogram of PuMnFe (DFT lattice parameters and positions (PBE); Cu Kα).
Peak positions follow from Bragg's law for the DFT cell and can differ from measured ones.

Structure:
Unit cell a=4.5121 b=4.5121 c=4.5121 alpha=134.23 beta=134.23 gamma=66.73
Positions (direct):
Pu  0.0000  0.0000  0.0000
Mn  0.6939  0.6939  0.0000
Fe  0.3177  0.3177  0.0000

Principal peaks in the range 2θ from 10° to 90°, by angle:
two_theta  intensity
23.61  237
28.05  1000
36.20  886
43.67  208
44.34  948
52.12  310
60.23  259
61.82  177
70.79  466
88.00  142

---

Structure and calculated powder diffractogram of MnFeRe2 (DFT lattice parameters and positions (PBE); Cu Kα).
Peak positions follow from Bragg's law for the DFT cell and can differ from measured ones.

Structure:
Unit cell a=2.6127 b=4.2418 c=4.9316 alpha=90.00 beta=99.50 gamma=90.00
Positions (direct):
Mn  0.0000  0.0000  0.0000
Fe  0.1881  0.5000  0.7613
Re  0.4727  0.0000  0.5197
Re  0.7133  0.5000  0.2441

Principal peaks in the range 2θ from 10° to 90°, by angle:
two_theta  intensity
18.24  280
27.91  358
40.98  116
42.31  338
42.62  1000
42.86  648
61.63  219
77.41  110
77.98  269
78.20  109

---

Structure and calculated powder diffractogram of MnFeRe (DFT lattice parameters and positions (PBE); Cu Kα).
Peak positions follow from Bragg's law for the DFT cell and can differ from measured ones.

Structure:
Unit cell a=4.4905 b=4.4905 c=4.4905 alpha=146.11 beta=131.78 gamma=60.24
Positions (direct):
Mn  0.0000  0.0000  0.0000
Fe  0.3395  0.3395  0.0000
Re  0.6706  0.6706  0.0000

Principal peaks in the range 2θ from 10° to 90°, by angle:
two_theta  intensity
22.90  406
26.88  609
36.21  287
42.42  1000
42.74  977
49.51  631
49.71  312
72.78  387
87.67  241
88.35  355

---

Structure and calculated powder diffractogram of MnFe2Ru (DFT lattice parameters and positions (PBE); Cu Kα).
Peak positions follow from Bragg's law for the DFT cell and can differ from measured ones.

Structure:
Unit cell a=4.4674 b=4.4674 c=4.4674 alpha=132.53 beta=132.53 gamma=69.39
Positions (direct):
Mn  0.0000  0.0000  0.0000
Fe  0.5000  0.5000  0.0000
Fe  0.7500  0.2500  0.5000
Ru  0.2500  0.7500  0.5000

Principal peaks in the range 2θ from 10° to 90°, by angle:
two_theta  intensity
24.23  34
27.62  87
35.29  26
43.27  1000
44.78  24
49.64  164
50.77  305
73.74  185
74.65  89
88.67  114

---

Structure and calculated powder diffractogram of Mn2FeRu (DFT lattice parameters and positions (PBE); Cu Kα).
Peak positions follow from Bragg's law for the DFT cell and can differ from measured ones.

Structure:
Unit cell a=2.5642 b=4.0633 c=4.8227 alpha=90.00 beta=101.34 gamma=90.00
Positions (direct):
Mn  0.0000  0.0000  0.0000
Mn  0.2241  0.5000  0.7446
Fe  0.4670  0.0000  0.5133
Ru  0.7112  0.5000  0.2449

Principal peaks in the range 2θ from 10° to 90°, by angle:
two_theta  intensity
43.44  1000
43.99  481
44.33  942
44.60  466
63.16  150
64.44  286
79.88  145
80.59  151
81.38  211
81.99  139

---

Structure and calculated powder diffractogram of Mn2FeRu (DFT lattice parameters and positions (PBE); Cu Kα).
Peak positions follow from Bragg's law for the DFT cell and can differ from measured ones.

Structure:
Unit cell a=4.4776 b=4.4776 c=4.4776 alpha=132.01 beta=132.01 gamma=70.21
Positions (direct):
Mn  0.0000  0.0000  0.0000
Mn  0.7500  0.2500  0.5000
Fe  0.5000  0.5000  0.0000
Ru  0.2500  0.7500  0.5000

Principal peaks in the range 2θ from 10° to 90°, by angle:
two_theta  intensity
24.30  30
27.35  101
42.93  1000
44.68  28
49.78  158
50.10  310
73.31  184
73.57  91
88.65  111
89.14  220

---

Structure and calculated powder diffractogram of MnFe2Ru (DFT lattice parameters and positions (PBE); Cu Kα).
Peak positions follow from Bragg's law for the DFT cell and can differ from measured ones.

Structure:
Unit cell a=4.8788 b=4.8788 c=4.8788 alpha=145.84 beta=129.75 gamma=62.16
Positions (direct):
Mn  0.0000  0.0000  0.0000
Fe  0.2482  0.7482  0.5000
Fe  0.7518  0.2518  0.5000
Ru  0.5000  0.5000  0.0000

Principal peaks in the range 2θ from 10° to 90°, by angle:
two_theta  intensity
23.98  70
43.31  264
43.70  257
44.12  1000
63.22  159
65.10  73
80.02  155
80.57  152
81.45  74
81.72  73

---

Structure and calculated powder diffractogram of Mn4Fe2Sb3 (DFT lattice parameters and positions (PBE); Cu Kα).
Peak positions follow from Bragg's law for the DFT cell and can differ from measured ones.

Structure:
Unit cell a=3.9454 b=3.9454 c=18.9480 alpha=90.00 beta=90.00 gamma=90.00
Positions (direct):
Mn  0.0000  0.0000  0.1698
Mn  0.0000  0.0000  0.8302
Mn  0.0000  0.5000  0.2641
Mn  0.0000  0.5000  0.5845
Mn  0.0000  0.5000  0.9252
Mn  0.5000  0.0000  0.0748
Mn  0.5000  0.0000  0.4155
Mn  0.5000  0.0000  0.7359
Fe  0.0000  0.0000  0.5000
Fe  0.5000  0.5000  0.1698
Fe  0.5000  0.5000  0.5000
Fe  0.5000  0.5000  0.8302
Sb  0.0000  0.5000  0.0714
Sb  0.0000  0.5000  0.4107
Sb  0.0000  0.5000  0.7310
Sb  0.5000  0.0000  0.2690
Sb  0.5000  0.0000  0.5893
Sb  0.5000  0.0000  0.9286

Principal peaks in the range 2θ from 10° to 90°, by angle:
two_theta  intensity
26.64  301
28.26  176
32.08  353
35.17  345
42.96  131
43.27  1000
46.01  491
64.76  144
67.10  149
83.27  271

---

Structure and calculated powder diffractogram of ScMn10Fe2 (DFT lattice parameters and positions (PBE); Cu Kα).
Peak positions follow from Bragg's law for the DFT cell and can differ from measured ones.

Structure:
Unit cell a=6.2563 b=6.2563 c=7.9555 alpha=90.00 beta=90.00 gamma=97.70
Positions (direct):
Sc  0.1248  0.8752  0.7500
Sc  0.8752  0.1248  0.2500
Mn  0.1314  0.3911  0.7500
Mn  0.1599  0.8401  0.1021
Mn  0.1599  0.8401  0.3979
Mn  0.2202  0.2202  0.0000
Mn  0.2202  0.2202  0.5000
Mn  0.2494  0.4835  0.2500
Mn  0.3911  0.1314  0.2500
Mn  0.3945  0.6055  0.5702
Mn  0.3945  0.6055  0.9298
Mn  0.4835  0.2494  0.7500
Mn  0.5165  0.7506  0.2500
Mn  0.6055  0.3945  0.0702
Mn  0.6055  0.3945  0.4298
Mn  0.6089  0.8686  0.7500
Mn  0.7506  0.5165  0.7500
Mn  0.7798  0.7798  0.0000
Mn  0.7798  0.7798  0.5000
Mn  0.8401  0.1599  0.6021
Mn  0.8401  0.1599  0.8979
Mn  0.8686  0.6089  0.2500
Fe  0.0000  0.5000  0.0000
Fe  0.0000  0.5000  0.5000
Fe  0.5000  0.0000  0.0000
Fe  0.5000  0.0000  0.5000

Principal peaks in the range 2θ from 10° to 90°, by angle:
two_theta  intensity
38.98  394
41.09  513
43.99  495
44.30  442
44.71  735
44.99  1000
45.61  298
49.67  619
50.17  880
51.00  511

---

Structure and calculated powder diffractogram of ScMn6Fe3 (DFT lattice parameters and positions (PBE); Cu Kα).
Peak positions follow from Bragg's law for the DFT cell and can differ from measured ones.

Structure:
Unit cell a=4.6925 b=4.7415 c=6.5682 alpha=87.93 beta=72.55 gamma=61.69
Positions (direct):
Sc  0.0000  0.0000  0.0000
Mn  0.0751  0.7463  0.5952
Mn  0.3650  0.0372  0.2553
Mn  0.3798  0.5423  0.2289
Mn  0.5332  0.7547  0.6089
Mn  0.6760  0.1759  0.4544
Mn  0.8906  0.5502  0.2672
Fe  0.0471  0.2683  0.6226
Fe  0.4165  0.2948  0.8559
Fe  0.7095  0.6530  0.9268

Principal peaks in the range 2θ from 10° to 90°, by angle:
two_theta  intensity
40.37  420
42.57  507
43.69  920
44.33  914
44.98  1000
45.08  746
45.78  614
46.21  927
46.46  462
47.09  801

---

Structure and calculated powder diffractogram of ScMnFeSi2 (DFT lattice parameters and positions (PBE); Cu Kα).
Peak positions follow from Bragg's law for the DFT cell and can differ from measured ones.

Structure:
Unit cell a=5.7114 b=5.7114 c=5.7114 alpha=141.53 beta=141.53 gamma=55.53
Positions (direct):
Sc  0.0000  0.0000  0.0000
Mn  0.2500  0.7500  0.5000
Fe  0.7500  0.2500  0.5000
Si  0.3834  0.3834  0.0000
Si  0.6166  0.6166  0.0000

Principal peaks in the range 2θ from 10° to 90°, by angle:
two_theta  intensity
17.55  278
35.53  122
35.77  270
38.23  1000
48.38  414
49.76  261
51.30  129
65.59  128
70.83  122
83.46  171

---

Structure and calculated powder diffractogram of Mn5Fe5Si6 (DFT lattice parameters and positions (PBE); Cu Kα).
Peak positions follow from Bragg's law for the DFT cell and can differ from measured ones.

Structure:
Unit cell a=4.6360 b=6.8120 c=6.8120 alpha=120.83 beta=90.00 gamma=90.00
Positions (direct):
Mn  0.0000  0.0000  0.0000
Mn  0.2501  0.5686  0.8969
Mn  0.2501  0.8969  0.5686
Mn  0.7499  0.5686  0.8969
Mn  0.7499  0.8969  0.5686
Fe  0.0000  0.2267  0.4746
Fe  0.0000  0.4746  0.2267
Fe  0.5000  0.2316  0.9818
Fe  0.5000  0.4674  0.4674
Fe  0.5000  0.9818  0.2316
Si  0.0000  0.2365  0.8338
Si  0.0000  0.6167  0.6167
Si  0.0000  0.8338  0.2365
Si  0.5000  0.2302  0.6217
Si  0.5000  0.6217  0.2302
Si  0.5000  0.8395  0.8395

Principal peaks in the range 2θ from 10° to 90°, by angle:
two_theta  intensity
40.59  333
40.97  332
41.90  577
45.03  655
45.24  793
45.59  630
45.96  311
46.58  535
47.44  1000
47.65  493

---

Structure and calculated powder diffractogram of Mn2Fe6Si (DFT lattice parameters and positions (PBE); Cu Kα).
Peak positions follow from Bragg's law for the DFT cell and can differ from measured ones.

Structure:
Unit cell a=6.5977 b=6.5977 c=4.1609 alpha=98.63 beta=98.63 gamma=140.86
Positions (direct):
Mn  0.1629  0.8371  0.0000
Mn  0.8371  0.1629  0.0000
Fe  0.1661  0.4971  0.6635
Fe  0.3399  0.3399  0.1698
Fe  0.4971  0.1661  0.6635
Fe  0.5029  0.8339  0.3365
Fe  0.6601  0.6601  0.8302
Fe  0.8339  0.5029  0.3365
Si  0.0000  0.0000  0.5000

Principal peaks in the range 2θ from 10° to 90°, by angle:
two_theta  intensity
41.02  112
43.66  1000
44.15  464
45.87  955
49.00  129
50.84  316
57.79  173
69.61  121
81.80  150
82.83  147